# 1
Diffraction record for YZrHg. The powder diffraction line list is computed, not measured: it uses a crystal structure in Alexandria, relaxed with PBE and Cu Kα X-rays.

Principal peaks in the range 5° ≤ 2θ ≤ 70°, low angle first:
2theta, I (rel.)
10.5, 19
20.1, 11
30.7, 11
32.0, 20
34.5, 31
35.3, 100
36.5, 24
47.8, 13
56.2, 12
62.4, 19
66.7, 10
67.7, 13

Structural model:
```
YZrHg
1.0
3.4131 0.0000 0.0000
0.0000 16.7815 0.0000
0.0000 0.0000 5.1965
Y Zr Hg
4 4 4
Direct
0.0000 0.0978 0.2500 Y
0.0000 0.9022 0.7500 Y
0.5000 0.4022 0.7500 Y
0.5000 0.5978 0.2500 Y
0.0000 0.2256 0.7500 Zr
0.0000 0.7744 0.2500 Zr
0.5000 0.2744 0.2500 Zr
0.5000 0.7256 0.7500 Zr
0.0000 0.4365 0.2500 Hg
0.0000 0.5635 0.7500 Hg
0.5000 0.0635 0.7500 Hg
0.5000 0.9365 0.2500 Hg
```

# 2
Diffraction record for ZnHg2. The powder diffraction line list is computed, not measured: it uses a crystal structure in Alexandria, relaxed with PBE and Cu Kα X-rays.

Principal peaks in the range 5° ≤ 2θ ≤ 70°, low angle first:
2theta, I (rel.)
20.3, 23
34.7, 100
35.6, 82
41.3, 4
50.6, 35
55.7, 4
57.5, 3
61.6, 12
63.4, 36
64.0, 15
69.5, 11

Structural model:
```
ZnHg2
1.0
5.0428 0.0000 0.0000
-2.5214 4.3672 0.0000
0.0000 0.0000 3.2059
Zn Hg
1 2
Direct
0.0000 0.0000 0.0000 Zn
0.3333 0.6667 0.2693 Hg
0.6667 0.3333 0.7307 Hg
```

# 3
Diffraction record for Zn11Hg. The powder diffraction line list is computed, not measured: it uses a crystal structure in Alexandria, relaxed with PBE and Cu Kα X-rays.

Principal peaks in the range 5° ≤ 2θ ≤ 70°, low angle first:
2theta, I (rel.)
22.5, 13
28.7, 17
32.5, 44
37.0, 72
37.2, 100
40.6, 30
43.8, 32
45.9, 24
47.0, 15
53.3, 13
56.3, 13
66.8, 31

Structural model:
```
Zn11Hg
1.0
-5.4293 5.4293 3.4039
5.4293 -5.4293 3.4039
5.4293 5.4293 -3.4039
Zn Hg
22 2
Direct
0.0000 0.0000 0.0000 Zn
0.0000 0.0000 0.5000 Zn
0.0000 0.5000 0.0000 Zn
0.1250 0.8750 0.2500 Zn
0.1342 0.5572 0.3335 Zn
0.1342 0.8008 0.5770 Zn
0.1992 0.2763 0.3335 Zn
0.1992 0.8658 0.9230 Zn
0.2763 0.1992 0.8335 Zn
0.2763 0.4428 0.0770 Zn
0.4428 0.2763 0.5770 Zn
0.4428 0.8658 0.1665 Zn
0.5000 0.0000 0.5000 Zn
0.5572 0.1342 0.8335 Zn
0.5572 0.7237 0.4230 Zn
0.7237 0.5572 0.9230 Zn
0.7237 0.8008 0.1665 Zn
0.8008 0.1342 0.0770 Zn
0.8008 0.7237 0.6665 Zn
0.8658 0.1992 0.4230 Zn
0.8658 0.4428 0.6665 Zn
0.8750 0.1250 0.7500 Zn
0.3750 0.6250 0.7500 Hg
0.6250 0.3750 0.2500 Hg
```

# 4
Diffraction record for ZnHg. The powder diffraction line list is computed, not measured: it uses a crystal structure in Alexandria, relaxed with PBE and Cu Kα X-rays.

Principal peaks in the range 5° ≤ 2θ ≤ 70°, low angle first:
2theta, I (rel.)
22.3, 16
25.8, 10
32.1, 100
38.0, 24
39.2, 10
39.5, 27
43.8, 10
45.6, 23
55.8, 7
56.9, 11
60.8, 19
65.0, 14

Structural model:
```
ZnHg
1.0
7.9597 0.0000 0.0000
-3.9799 6.8933 0.0000
0.0000 0.0000 4.7315
Zn Hg
6 6
Direct
0.1154 0.5577 0.2500 Zn
0.4423 0.5577 0.2500 Zn
0.4423 0.8846 0.2500 Zn
0.5577 0.1154 0.7500 Zn
0.5577 0.4423 0.7500 Zn
0.8846 0.4423 0.7500 Zn
0.1714 0.3429 0.7500 Hg
0.1714 0.8286 0.7500 Hg
0.3429 0.1714 0.2500 Hg
0.6571 0.8286 0.7500 Hg
0.8286 0.1714 0.2500 Hg
0.8286 0.6571 0.2500 Hg
```

# 5
Diffraction record for ZnHg. The powder diffraction line list is computed, not measured: it uses a crystal structure in Alexandria, relaxed with PBE and Cu Kα X-rays.

Principal peaks in the range 5° ≤ 2θ ≤ 70°, low angle first:
2theta, I (rel.)
21.2, 20
28.9, 20
32.9, 32
36.2, 100
39.5, 9
43.3, 15
48.6, 11
52.9, 8
55.4, 15
59.9, 12
60.8, 22
67.1, 9

Structural model:
```
ZnHg
1.0
3.7453 0.0000 0.0000
0.0000 5.4515 0.0000
0.0000 0.0000 4.1815
Zn Hg
2 2
Direct
0.0000 0.0000 0.0000 Zn
0.5000 0.5000 0.0000 Zn
0.0000 0.5000 0.5000 Hg
0.5000 0.0000 0.5000 Hg
```

# 6
Diffraction record for ZnHg. The powder diffraction line list is computed, not measured: it uses a crystal structure in Alexandria, relaxed with PBE and Cu Kα X-rays.

Principal peaks in the range 5° ≤ 2θ ≤ 70°, low angle first:
2theta, I (rel.)
12.4, 100
27.6, 59
28.1, 39
33.0, 42
37.6, 41
38.8, 24
40.1, 30
41.8, 36
48.6, 18
49.4, 20
57.1, 22
62.4, 17

Structural model:
```
ZnHg
1.0
10.0588 0.0000 0.0000
0.0000 10.0588 0.0000
0.0000 0.0000 4.6364
Zn Hg
8 8
Direct
0.2035 0.7049 0.0000 Zn
0.2049 0.2965 0.5000 Zn
0.2951 0.2035 0.0000 Zn
0.2965 0.7951 0.5000 Zn
0.7035 0.2049 0.5000 Zn
0.7049 0.7965 0.0000 Zn
0.7951 0.7035 0.5000 Zn
0.7965 0.2951 0.0000 Zn
0.0585 0.3360 0.0000 Hg
0.1640 0.5585 0.5000 Hg
0.3360 0.9415 0.0000 Hg
0.4415 0.1640 0.5000 Hg
0.5585 0.8360 0.5000 Hg
0.6640 0.0585 0.0000 Hg
0.8360 0.4415 0.5000 Hg
0.9415 0.6640 0.0000 Hg
```

# 7
Diffraction record for Zn4Hg3. The powder diffraction line list is computed, not measured: it uses a crystal structure in Alexandria, relaxed with PBE and Cu Kα X-rays.

Principal peaks in the range 5° ≤ 2θ ≤ 70°, low angle first:
2theta, I (rel.)
17.2, 14
18.2, 51
34.7, 72
35.3, 37
36.9, 16
39.5, 100
41.0, 35
51.6, 16
60.8, 21
62.2, 23
65.4, 16
68.2, 23

Structural model:
```
Zn4Hg3
1.0
5.9696 0.0000 0.0000
-2.9848 5.1699 0.0000
0.0000 0.0000 4.8711
Zn Hg
4 3
Direct
0.0000 0.0000 0.2446 Zn
0.0000 0.0000 0.7554 Zn
0.3333 0.6667 0.0000 Zn
0.6667 0.3333 0.0000 Zn
0.0000 0.5000 0.5000 Hg
0.5000 0.0000 0.5000 Hg
0.5000 0.5000 0.5000 Hg
```

# 8
Diffraction record for ZnHg4. The powder diffraction line list is computed, not measured: it uses a crystal structure in Alexandria, relaxed with PBE and Cu Kα X-rays.

Principal peaks in the range 5° ≤ 2θ ≤ 70°, low angle first:
2theta, I (rel.)
28.1, 24
28.6, 36
31.4, 8
34.6, 100
35.0, 7
40.5, 34
45.1, 11
47.5, 8
54.6, 28
59.1, 7
61.9, 30
69.5, 12

Structural model:
```
ZnHg4
1.0
6.3611 0.0000 0.0000
0.0000 6.3611 0.0000
0.0000 0.0000 6.2492
Zn Hg
2 8
Direct
0.0000 0.0000 0.2500 Zn
0.0000 0.0000 0.7500 Zn
0.1980 0.3404 0.0000 Hg
0.1980 0.6596 0.5000 Hg
0.3404 0.1980 0.5000 Hg
0.3404 0.8020 0.0000 Hg
0.6596 0.1980 0.0000 Hg
0.6596 0.8020 0.5000 Hg
0.8020 0.3404 0.5000 Hg
0.8020 0.6596 0.0000 Hg
```